# EuNbGaSnO6
Computed X-ray diffraction stick pattern, CuKα. Input: the PBE geometry in the Materials Project.

Atomic structure:
```
10
Lattice="0.000 3.998 3.998 3.998 0.000 3.998 3.998 3.998 0.000" Properties=species:S:1:pos:R:3 pbc="T T T"
Eu 0.000 0.000 0.000
Nb 5.997 5.997 5.997
Ga 1.999 1.999 1.999
Sn 3.998 3.998 3.998
O 1.999 1.999 0.013
O 1.999 0.013 1.999
O 3.985 1.999 1.999
O 0.013 1.999 1.999
O 1.999 3.985 1.999
O 1.999 1.999 3.985
```

The 9 most intense peaks (5° ≤ 2θ ≤ 70°), by angle:
2θ (°)  I_rel
19.2  20
22.2  30
31.7  1000
37.3  11
39.0  93
45.4  315
51.1  20
56.4  399
66.1  192



# Eu3Ga4Ni4
Computed X-ray diffraction stick pattern, CuKα. Input: the PBE geometry in the Materials Project.

Atomic structure:
```
11
Lattice="-3.727 3.727 3.727 3.727 -3.727 3.727 3.727 3.727 -3.727" Properties=species:S:1:pos:R:3 pbc="T T T"
Eu 3.727 0.000 0.000
Eu 0.000 3.727 0.000
Eu 0.000 0.000 3.727
Ga 1.474 1.474 -1.474
Ga 1.474 -1.474 1.474
Ga -1.474 1.474 1.474
Ga 2.253 2.253 2.253
Ni 2.832 2.832 -2.832
Ni 2.832 -2.832 2.832
Ni 0.895 0.895 0.895
Ni -2.832 2.832 2.832
```

The 10 most intense peaks (5° ≤ 2θ ≤ 70°), by angle:
2θ (°)  I_rel
23.9  169
29.3  211
34.0  1000
38.2  438
42.0  120
45.5  264
52.1  230
55.1  178
58.0  105
60.9  243



# Eu3GaO6
Computed X-ray diffraction stick pattern, CuKα. Input: the PBE geometry in the Materials Project.

Atomic structure:
```
20
Lattice="4.586 -5.763 0.000 4.586 5.763 0.000 0.000 0.000 5.549" Properties=species:S:1:pos:R:3 pbc="T T T"
Eu 4.586 4.539 2.775
Eu 2.823 1.229 2.562
Eu 2.823 -1.229 5.337
Eu 6.348 1.229 2.562
Eu 6.348 -1.229 5.337
Eu 4.586 -4.539 0.000
Ga 4.586 2.217 5.118
Ga 4.586 -2.217 2.344
O 3.172 3.036 4.165
O 1.460 0.182 4.043
O 1.460 -0.182 1.268
O 4.586 2.457 1.421
O 5.999 3.036 4.165
O 4.586 0.504 4.361
O 4.586 -0.504 1.586
O 3.172 -3.036 1.391
O 4.586 -2.457 4.195
O 7.711 0.182 4.043
O 7.711 -0.182 1.268
O 5.999 -3.036 1.391
```

The 10 most intense peaks (5° ≤ 2θ ≤ 70°), by angle:
2θ (°)  I_rel
20.2  146
29.6  1000
29.9  390
30.2  169
32.3  202
44.8  229
45.4  191
49.5  201
55.9  133
58.2  159



# Eu2Ga2O5
Computed X-ray diffraction stick pattern, CuKα. Input: the PBE geometry in the Materials Project.

Atomic structure:
```
9
Lattice="3.936 0.000 0.000 0.000 3.936 0.000 0.000 0.000 7.584" Properties=species:S:1:pos:R:3 pbc="T T T"
Eu 0.000 0.000 0.000
Eu 0.000 0.000 3.792
Ga 1.968 1.968 1.893
Ga 1.968 1.968 5.691
O 0.000 1.968 1.625
O 0.000 1.968 5.959
O 1.968 0.000 1.625
O 1.968 0.000 5.959
O 1.968 1.968 3.792
```

The 10 most intense peaks (5° ≤ 2θ ≤ 70°), by angle:
2θ (°)  I_rel
22.6  127
32.2  447
32.8  1000
40.2  163
46.1  282
48.0  115
57.7  396
58.9  181
67.3  86
68.8  149



# EuGaO3
Computed X-ray diffraction stick pattern, CuKα. Input: the PBE geometry in the Materials Project.

Atomic structure:
```
20
Lattice="5.624 0.000 0.000 0.000 7.686 0.000 0.000 0.000 5.464" Properties=species:S:1:pos:R:3 pbc="T T T"
Eu 0.298 1.922 0.056
Eu 2.513 5.765 2.788
Eu 3.110 1.922 2.676
Eu 5.325 5.765 5.408
Ga 0.000 0.000 2.732
Ga 0.000 3.843 2.732
Ga 2.812 0.000 0.000
Ga 2.812 3.843 0.000
O 0.151 5.765 2.253
O 1.127 4.189 4.358
O 1.127 7.340 4.358
O 1.684 0.346 1.626
O 1.684 3.497 1.626
O 2.660 1.922 4.985
O 2.963 5.765 0.478
O 3.939 4.189 3.838
O 3.939 7.340 3.838
O 4.496 0.346 1.106
O 4.496 3.497 1.106
O 5.472 1.922 3.210
```

The 10 most intense peaks (5° ≤ 2θ ≤ 70°), by angle:
2θ (°)  I_rel
25.5  114
31.8  219
32.6  1000
32.8  257
46.3  223
47.3  141
53.0  138
57.2  112
58.4  227
68.4  120



# EuGaO3
Computed X-ray diffraction stick pattern, CuKα. Input: the PBE geometry in the Materials Project.

Atomic structure:
```
10
Lattice="3.673 0.000 0.000 -1.836 3.181 0.000 0.000 0.000 11.598" Properties=species:S:1:pos:R:3 pbc="T T T"
Eu 0.000 0.000 0.000
Eu 0.000 0.000 5.799
Ga 0.000 2.121 2.899
Ga 1.836 1.060 8.698
O 0.000 0.000 2.899
O 0.000 0.000 8.698
O 0.000 2.121 1.024
O 0.000 2.121 4.775
O 1.836 1.060 6.823
O 1.836 1.060 10.574
```

The 10 most intense peaks (5° ≤ 2θ ≤ 70°), by angle:
2θ (°)  I_rel
15.3  205
28.1  348
29.1  303
30.8  338
32.1  1000
42.2  347
49.6  392
55.6  273
59.6  308
60.3  173



# EuGaSnSbO6
Computed X-ray diffraction stick pattern, CuKα. Input: the PBE geometry in the Materials Project.

Atomic structure:
```
10
Lattice="0.000 4.001 4.001 4.001 0.000 4.001 4.001 4.001 0.000" Properties=species:S:1:pos:R:3 pbc="T T T"
Eu 0.000 0.000 0.000
Ga 2.001 2.001 2.001
Sn 4.001 4.001 4.001
Sb 6.002 6.002 6.002
O 2.001 2.001 0.006
O 2.001 0.006 2.001
O 3.995 2.001 2.001
O 0.006 2.001 2.001
O 2.001 3.995 2.001
O 2.001 2.001 3.995
```

The 10 most intense peaks (5° ≤ 2θ ≤ 70°), by angle:
2θ (°)  I_rel
19.2  39
22.2  10
31.6  1000
37.3  22
39.0  63
45.3  307
49.7  9
51.0  8
56.3  400
66.0  188



# EuGa2P2
Computed X-ray diffraction stick pattern, CuKα. Input: the PBE geometry in the Materials Project.

Atomic structure:
```
20
Lattice="9.404 0.000 0.000 0.000 3.957 0.000 -1.198 0.000 12.133" Properties=species:S:1:pos:R:3 pbc="T T T"
Eu 0.000 0.000 0.000
Eu 1.498 1.978 3.391
Eu 4.103 0.000 6.067
Eu 6.708 1.978 8.743
Ga 0.380 0.000 6.865
Ga 0.864 1.978 10.039
Ga 3.648 0.000 0.684
Ga 2.922 1.978 8.741
Ga 5.283 1.978 3.392
Ga 4.558 0.000 11.450
Ga 7.342 1.978 2.094
Ga 7.825 0.000 5.268
P -0.394 0.000 9.231
P 2.217 1.978 0.327
P 1.841 1.978 6.519
P 3.853 0.000 3.114
P 4.353 0.000 9.019
P 6.365 1.978 5.614
P 5.988 1.978 11.807
P 8.600 0.000 2.902
```

The 10 most intense peaks (5° ≤ 2θ ≤ 70°), by angle:
2θ (°)  I_rel
25.2  296
26.9  977
29.4  417
29.6  1000
30.0  348
30.9  439
36.9  343
43.6  337
45.8  356
45.9  390



# Eu3GaP3
Computed X-ray diffraction stick pattern, CuKα. Input: the PBE geometry in the Materials Project.

Atomic structure:
```
28
Lattice="9.216 -3.129 0.000 9.216 3.129 0.000 0.000 0.000 12.176" Properties=species:S:1:pos:R:3 pbc="T T T"
Eu 5.961 1.937 1.600
Eu 5.961 1.192 7.688
Eu 9.216 2.005 10.369
Eu 9.216 1.124 4.281
Eu 12.470 1.937 1.600
Eu 12.470 1.192 7.688
Eu 5.961 -1.192 4.487
Eu 5.961 -1.937 10.575
Eu 9.216 -1.124 7.895
Eu 9.216 -2.005 1.807
Eu 12.470 -1.192 4.487
Eu 12.470 -1.937 10.575
Ga 1.599 0.000 6.088
Ga 7.617 0.000 0.000
Ga 10.814 0.000 0.000
Ga 16.832 0.000 6.088
P 6.242 1.801 4.590
P 6.242 1.328 10.678
P 9.216 1.785 7.385
P 9.216 1.344 1.297
P 12.189 1.801 4.590
P 12.189 1.328 10.678
P 6.242 -1.328 1.498
P 6.242 -1.801 7.586
P 9.216 -1.344 10.878
P 9.216 -1.785 4.790
P 12.189 -1.328 1.498
P 12.189 -1.801 7.586
```

The 10 most intense peaks (5° ≤ 2θ ≤ 70°), by angle:
2θ (°)  I_rel
25.0  1000
26.6  207
28.5  199
29.1  522
29.3  334
31.1  242
41.2  282
41.4  297
41.8  422
55.4  141



What is the formula in the seventh record?
EuGaSnSbO6



What is the formula in the fourth record?
Eu2Ga2O5